The following is a calculated PXRD pattern of Ca5Ge3. It was derived from a crystal structure in the Materials Project, relaxed with GGA-PBE, using Cu Kα (weighted mean of Kα1 and Kα2).

Principal peaks in the range 2θ from 10° to 80°, by intensity:
Position (°2θ), d [Å], Rel. int.
31.54, 2.836, 100
33.43, 2.680, 52
36.76, 2.445, 51
20.16, 4.405, 41
39.96, 2.256, 34
11.90, 7.439, 22
48.97, 1.860, 20
42.60, 2.122, 19

Cell lengths 9.232, 9.232, 9.232 Å; angles 130.49, 130.49, 72.63 degrees
Positions (direct):
1 Ca 0.000 0.000 0.000
2 Ca 0.038 0.538 0.856
3 Ca 0.182 0.038 0.500
4 Ca 0.318 0.818 0.856
5 Ca 0.462 0.318 0.500
6 Ca 0.500 0.500 0.000
7 Ca 0.538 0.682 0.500
8 Ca 0.682 0.182 0.144
9 Ca 0.818 0.962 0.500
10 Ca 0.962 0.462 0.144
11 Ge 0.118 0.382 0.500
12 Ge 0.250 0.250 0.000
13 Ge 0.382 0.882 0.263
14 Ge 0.618 0.118 0.737
15 Ge 0.750 0.750 0.000
16 Ge 0.882 0.618 0.500